Starting from a DFT-relaxed cell (PBE+U, Alexandria), the powder diffractogram of MgVF5 was computed for CuKα.

Largest 6 diffraction maxima, low angle first, 10 to 80 degrees two-theta:
2theta, I_rel
18.34, 23
23.04, 87
27.60, 100
28.78, 33
47.09, 35
50.27, 40

Structure:
a = 5.3159 Å, b = 5.3159 Å, c = 7.5732 Å
α = 111.32°, β = 111.32°, γ = 71.41°
Fractional coordinates of all 14 atoms:
Mg 0.0289 0.9711 0.7500
Mg 0.9711 0.0289 0.2500
V 0.5000 0.5000 0.0000
V 0.5000 0.5000 0.5000
F 0.1766 0.7846 0.0507
F 0.2154 0.8234 0.4493
F 0.2184 0.2847 0.3650
F 0.2847 0.2184 0.8650
F 0.3703 0.6297 0.7500
F 0.6297 0.3703 0.2500
F 0.7153 0.7816 0.1350
F 0.7816 0.7153 0.6350
F 0.7846 0.1766 0.5507
F 0.8234 0.2154 0.9493